Computed PXRD pattern of Na2Sb5C2S2N2O3F9 for Cu Kα (weighted mean of Kα1 and Kα2), from a PBE-relaxed structure.
Neutral-atom scattering factors, no anomalous dispersion.

Largest 10 diffraction maxima, by angle, 15° ≤ 2θ ≤ 90°:
| (hkl) | d_spacing | two_theta | Rel. int. |
| --- | --- | --- | --- |
| 1 1 2 | 5.234 | 16.94 | 54 |
| 0 2 -2 | 3.382 | 26.35 | 34 |
| -1 2 2 | 3.357 | 26.55 | 27 |
| 1 1 4 | 3.333 | 26.75 | 100 |
| 2 -1 1 | 3.197 | 27.91 | 13 |
| 2 -1 2 | 3.012 | 29.66 | 21 |
| 1 3 2 | 2.997 | 29.81 | 19 |
| 1 0 -4 | 2.725 | 32.86 | 16 |
| 2 1 -2 | 2.661 | 33.68 | 19 |
| 3 2 4 | 2.106 | 42.95 | 13 |

Cell and atoms:
Unit cell a=7.209 b=9.533 c=13.778 alpha=74.81 beta=76.15 gamma=83.16
Fractional coordinates of all 50 atoms:
Na (0.123, 0.307, 0.048)
Na (0.331, 0.863, 0.086)
Na (0.669, 0.137, 0.914)
Na (0.877, 0.693, 0.952)
Sb (0.051, 0.418, 0.767)
Sb (0.231, 0.088, 0.299)
Sb (0.304, 0.039, 0.778)
Sb (0.436, 0.666, 0.356)
Sb (0.437, 0.641, 0.887)
Sb (0.563, 0.359, 0.113)
Sb (0.564, 0.334, 0.644)
Sb (0.696, 0.961, 0.222)
Sb (0.769, 0.912, 0.701)
Sb (0.949, 0.582, 0.233)
C (0.045, 0.288, 0.544)
C (0.264, 0.726, 0.634)
C (0.736, 0.274, 0.366)
C (0.955, 0.712, 0.456)
S (0.248, 0.301, 0.462)
S (0.252, 0.898, 0.582)
S (0.748, 0.102, 0.418)
S (0.752, 0.699, 0.538)
N (0.101, 0.725, 0.392)
N (0.278, 0.598, 0.672)
N (0.722, 0.402, 0.328)
N (0.899, 0.275, 0.608)
O (0.285, 0.288, 0.732)
O (0.436, 0.886, 0.306)
O (0.497, 0.147, 0.224)
O (0.503, 0.853, 0.776)
O (0.564, 0.114, 0.694)
O (0.715, 0.712, 0.268)
F (0.035, 0.771, 0.127)
F (0.129, 0.463, 0.885)
F (0.159, 0.294, 0.216)
F (0.176, 0.034, 0.178)
F (0.188, 0.763, 0.906)
F (0.301, 0.524, 0.035)
F (0.367, 0.050, 0.911)
F (0.378, 0.648, 0.227)
F (0.467, 0.259, 0.025)
F (0.533, 0.741, 0.975)
F (0.622, 0.352, 0.773)
F (0.633, 0.950, 0.089)
F (0.699, 0.476, 0.965)
F (0.812, 0.237, 0.094)
F (0.824, 0.966, 0.822)
F (0.841, 0.706, 0.784)
F (0.871, 0.537, 0.115)
F (0.965, 0.229, 0.873)